Diffraction record for Li6PtPb. The X-ray diffraction stick pattern is calculated, not measured: it uses a DFT-relaxed cell (GGA-PBE, Alexandria) and Cu Kα X-rays.
Kinematic intensities with the Lorentz-polarization factor, no thermal factor.

Cell and atoms:
```
data_Li6PtPb
_chemical_formula_sum 'Li12 Pt2 Pb2'
_space_group_name_H-M_alt 'A m m 2'
_space_group_IT_number 38
_space_group_name_Hall 'A 2 -2'
_cell_length_a 4.709
_cell_length_b 5.742
_cell_length_c 9.897
_cell_angle_alpha 90.00
_cell_angle_beta 90.00
_cell_angle_gamma 90.00
loop_
_atom_site_label
_atom_site_fract_x
_atom_site_fract_y
_atom_site_fract_z
Li1 0.000 0.000 0.000
Li2 0.000 0.229 0.230
Li3 0.500 0.000 0.652
Li4 0.500 0.246 0.407
Pt1 0.500 0.000 0.154
Pb1 0.000 0.000 0.487
```

Largest 8 diffraction maxima, low angle first, 2θ = 10–90°:
| index | 2θ (°) | d/Å | intensity |
| --- | --- | --- | --- |
| 0 1 1 | 17.9 | 4.961 | 42 |
| 1 0 2 | 26.1 | 3.415 | 100 |
| 0 2 0 | 31.2 | 2.871 | 14 |
| 0 1 3 | 31.3 | 2.861 | 29 |
| 1 2 2 | 41.1 | 2.197 | 25 |
| 1 0 4 | 41.2 | 2.190 | 12 |
| 2 2 0 | 50.2 | 1.819 | 23 |
| 1 1 5 | 52.6 | 1.740 | 21 |

Diffraction record for SnGeS4. The X-ray diffraction stick pattern is calculated, not measured: it uses a DFT-relaxed cell (GGA-PBE, Alexandria) and Cu Kα X-rays.
Kinematic intensities with the Lorentz-polarization factor, no thermal factor.

Cell and atoms:
```
data_SnGeS4
_chemical_formula_sum 'Sn2 Ge2 S8'
_space_group_name_H-M_alt 'C 1 2/m 1'
_space_group_IT_number 12
_space_group_name_Hall '-C 2y'
_cell_length_a 14.641
_cell_length_b 3.568
_cell_length_c 6.209
_cell_angle_alpha 90.00
_cell_angle_beta 115.06
_cell_angle_gamma 90.00
loop_
_atom_site_label
_atom_site_fract_x
_atom_site_fract_y
_atom_site_fract_z
Sn1 0.000 0.000 0.000
Ge1 0.000 0.500 0.500
S1 0.107 0.000 0.454
S2 0.110 0.500 0.926
```

Largest 8 diffraction maxima, low angle first, 2θ = 10–90°:
| index | 2θ (°) | d/Å | intensity |
| --- | --- | --- | --- |
| 2 0 0 | 13.4 | 6.632 | 100 |
| 1 1 -1 | 28.9 | 3.093 | 11 |
| 0 0 2 | 31.8 | 2.812 | 22 |
| 3 1 -1 | 31.9 | 2.803 | 45 |
| 2 0 2 | 39.8 | 2.263 | 54 |
| 5 1 1 | 50.7 | 1.799 | 24 |
| 3 1 -3 | 51.0 | 1.790 | 13 |
| 1 1 -3 | 53.0 | 1.728 | 11 |